Record 1
Diffraction record for LaTm2ScBi4. The PXRD pattern is simulated, not measured: it uses DFT lattice parameters and positions (GGA-PBE) and CuKα.

Structure:
Unit cell a=6.3436 b=6.3436 c=12.5773 alpha=90.00 beta=90.00 gamma=90.00
Space group I4/mmm (No. 139)
Inequivalent atoms, fractional coordinates:
La 0.0000 0.0000 0.0000 x2
Tm 0.0000 0.5000 0.2500 x4
Sc 0.0000 0.0000 0.5000 x2
Bi 0.0000 0.0000 0.2604 x4
Bi 0.0000 0.5000 0.0000 x4

Principal peaks in the range 2θ from 5° to 70°, by intensity:
(2 0 0), 2θ 28.13, I 1000; (2 0 4), 2θ 40.39, I 756; (0 0 4), 2θ 28.38, I 479; (2 2 4), 2θ 49.95, I 413; (2 2 0), 2θ 40.21, I 391; (4 2 0), 2θ 65.84, I 186; (4 0 4), 2θ 65.97, I 181; (2 0 8), 2θ 66.36, I 167; (1 1 2), 2θ 24.37, I 140; (4 0 0), 2θ 58.17, I 134

Record 2
Diffraction record for La3Bi2Se. The PXRD pattern is simulated, not measured: it uses DFT lattice parameters and positions (GGA-PBE) and CuKα.

Structure:
Unit cell a=9.1525 b=12.9624 c=27.4845 alpha=90.00 beta=90.00 gamma=90.00
Space group Fddd (No. 70, origin choice 2)
Inequivalent atoms, fractional coordinates:
La 0.1122 0.3750 0.3750 x16
La 0.1194 0.3702 0.2106 x32
Bi 0.1250 0.1250 0.3764 x16
Bi 0.1250 0.1250 0.5434 x16
Se 0.1250 0.1250 0.0416 x16

Principal peaks in the range 2θ from 5° to 70°, by intensity:
(0 4 0), 2θ 27.54, I 1000; (2 4 6), 2θ 39.35, I 775; (2 8 6), 2θ 64.32, I 361; (0 4 12), 2θ 48.70, I 279; (0 8 0), 2θ 56.86, I 131; (1 1 1), 2θ 12.27, I 38; (1 1 7), 2θ 25.63, I 19; (1 1 5), 2θ 20.05, I 17; (1 3 1), 2θ 22.99, I 17; (1 3 7), 2θ 32.32, I 15

Record 3
Diffraction record for La8BiTe4Se3. The PXRD pattern is simulated, not measured: it uses DFT lattice parameters and positions (GGA-PBE) and CuKα.

Structure:
Unit cell a=8.9746 b=8.9746 c=22.2115 alpha=90.00 beta=90.00 gamma=120.00
Space group R-3m (No. 166, hexagonal axes)
Inequivalent atoms, fractional coordinates:
La 0.0000 0.0000 0.2412 x6
La 0.0140 0.5070 0.7558 x18
Bi 0.0000 0.0000 0.5000 x3
Te 0.0000 0.0000 0.0000 x3
Te 0.0000 0.5000 0.0000 x9
Se 0.0000 0.5000 0.5000 x9

Principal peaks in the range 2θ from 5° to 70°, by intensity:
(0 2 4), 2θ 28.02, I 1000; (2 2 0), 2θ 40.19, I 380; (2 0 8), 2θ 39.91, I 370; (4 0 4), 2θ 49.71, I 201; (2 4 4), 2θ 65.76, I 169; (2 2 12), 2θ 65.36, I 157; (0 4 8), 2θ 57.93, I 121; (0 0 12), 2θ 49.23, I 63; (1 1 3), 2θ 23.19, I 19; (2 1 1), 2θ 30.70, I 18

Record 4
Diffraction record for LaThBiSe. The PXRD pattern is simulated, not measured: it uses DFT lattice parameters and positions (GGA-PBE) and CuKα.

Structure:
Unit cell a=4.3411 b=4.3411 c=23.0714 alpha=90.00 beta=90.00 gamma=120.00
Space group R3m (No. 160, hexagonal axes)
Inequivalent atoms, fractional coordinates:
La 0.0000 0.0000 0.0000 x3
Th 0.0000 0.0000 0.1864 x3
Bi 0.0000 0.0000 0.4284 x3
Se 0.0000 0.0000 0.5940 x3

Principal peaks in the range 2θ from 5° to 70°, by intensity:
(0 1 5), 2θ 30.67, I 1000; (1 1 0), 2θ 41.61, I 608; (1 0 4), 2θ 28.34, I 544; (1 0 1), 2θ 23.98, I 382; (1 0 7), 2θ 36.25, I 366; (1 1 12), 2θ 64.78, I 248; (2 0 5), 2θ 52.57, I 225; (1 2 5), 2θ 69.18, I 199; (0 1 2), 2θ 24.91, I 141; (1 1 9), 2θ 55.47, I 135